Computed X-ray powder pattern
Compound: Li2AlCl6
Radiation: Cu Ka
Structure: the GGA-PBE geometry in Alexandria
Peak positions follow from Bragg's law for the DFT cell and can differ from measured ones.

Largest 12 diffraction maxima, sorted by position, 15 to 90 degrees two-theta:
d (Å)	Rel. int.
5.478	8.0
5.216	22.8
4.194	15.9
2.965	31.5
2.754	100.0
2.652	34.1
2.146	19.3
2.097	17.7
1.826	9.8
1.739	24.4
1.668	13.0
1.438	9.6

Atomic structure:
```
data_Li2AlCl6
_chemical_formula_sum 'Li4 Al2 Cl12'
_cell_length_a 5.931
_cell_length_b 5.931
_cell_length_c 10.956
_cell_angle_alpha 90.00
_cell_angle_beta 90.00
_cell_angle_gamma 90.00
_space_group_name_H-M_alt 'P 42/m n m'
_space_group_IT_number 136
_space_group_name_Hall '-P 4n 2n'
loop_
_atom_site_label
_atom_site_type_symbol
_atom_site_fract_x
_atom_site_fract_y
_atom_site_fract_z
Li1 Li 0.000 0.000 0.168
Al1 Al 0.000 0.000 0.500
Cl1 Cl 0.190 0.190 0.346
Cl2 Cl 0.219 0.219 0.000
```

Computed X-ray powder pattern
Compound: Na2Li2Al3Si3ClO12
Radiation: Cu Ka
Structure: the GGA-PBE geometry in Alexandria
Peak positions follow from Bragg's law for the DFT cell and can differ from measured ones.

Largest 12 diffraction maxima, sorted by position, 15 to 90 degrees two-theta:
d (Å)	Rel. int.
4.367	14.7
3.566	100.0
2.763	6.3
2.521	27.3
2.334	25.0
2.059	15.2
1.953	6.8
1.862	7.0
1.713	5.5
1.544	20.2
1.498	7.7
1.348	6.6

Atomic structure:
```
data_Na2Li2Al3Si3ClO12
_chemical_formula_sum 'Na4 Li4 Al6 Si6 Cl2 O24'
_cell_length_a 8.730
_cell_length_b 8.730
_cell_length_c 8.745
_cell_angle_alpha 90.00
_cell_angle_beta 90.00
_cell_angle_gamma 90.00
_space_group_name_H-M_alt 'P -4'
_space_group_IT_number 81
loop_
_space_group_symop_operation_xyz
'x,y,z'
'y,-x,-z'
'-x,-y,z'
'-y,x,-z'
loop_
_atom_site_label
_atom_site_type_symbol
_atom_site_fract_x
_atom_site_fract_y
_atom_site_fract_z
Na1 Na 0.160 0.339 0.412
Li1 Li 0.188 0.687 0.063
Al1 Al 0.002 0.750 0.756
Al2 Al 0.500 0.500 0.000
Al3 Al 0.500 0.500 0.500
Si1 Si 0.000 0.000 0.000
Si2 Si 0.000 0.000 0.500
Si3 Si 0.250 0.502 0.755
Cl1 Cl 0.000 0.500 0.199
O1 O 0.073 0.862 0.604
O2 O 0.084 0.134 0.897
O3 O 0.136 0.374 0.680
O4 O 0.157 0.645 0.836
O5 O 0.352 0.574 0.616
O6 O 0.354 0.416 0.887
```

Computed X-ray powder pattern
Compound: LiAlS3Cl4O6
Radiation: Cu Ka
Structure: the GGA-PBE geometry in Alexandria
Peak positions follow from Bragg's law for the DFT cell and can differ from measured ones.

Largest 12 diffraction maxima, sorted by position, 15 to 90 degrees two-theta:
d (Å)	Rel. int.
4.612	70.0
4.198	27.3
3.776	75.7
3.492	35.6
3.406	26.8
3.371	50.2
3.289	81.5
3.231	37.4
3.105	32.0
2.897	100.0
2.689	31.9
2.307	26.4

Atomic structure:
```
data_LiAlS3Cl4O6
_chemical_formula_sum 'Li4 Al4 S12 Cl16 O24'
_cell_length_a 9.773
_cell_length_b 10.105
_cell_length_c 13.970
_cell_angle_alpha 90.00
_cell_angle_beta 90.00
_cell_angle_gamma 90.00
_space_group_name_H-M_alt 'P n m a'
_space_group_IT_number 62
loop_
_space_group_symop_operation_xyz
'x,y,z'
'-x,-y,-z'
'-x+1/2,-y,z+1/2'
'x+1/2,y,-z+1/2'
'x+1/2,-y+1/2,-z+1/2'
'-x+1/2,y+1/2,z+1/2'
'-x,y+1/2,-z'
'x,-y+1/2,z'
loop_
_atom_site_label
_atom_site_type_symbol
_atom_site_fract_x
_atom_site_fract_y
_atom_site_fract_z
Li1 Li 0.117 0.250 0.246
Al1 Al 0.218 0.250 0.625
S1 S 0.132 0.750 0.572
S2 S 0.136 0.542 0.857
Cl1 Cl 0.093 0.750 0.044
Cl2 Cl 0.103 0.076 0.589
Cl3 Cl 0.243 0.750 0.278
O1 O 0.005 0.590 0.822
O2 O 0.014 0.750 0.635
O3 O 0.234 0.250 0.117
O4 O 0.243 0.104 0.317
```

Computed X-ray powder pattern
Compound: MgAl2Cl6
Radiation: Cu Ka
Structure: the GGA-PBE geometry in Alexandria
Peak positions follow from Bragg's law for the DFT cell and can differ from measured ones.

Largest 12 diffraction maxima, sorted by position, 15 to 90 degrees two-theta:
d (Å)	Rel. int.
4.760	99.0
4.058	71.3
3.805	89.4
3.129	100.0
3.054	54.9
2.927	58.3
2.912	90.9
2.657	80.2
2.255	79.7
1.838	60.9
1.824	64.7
1.788	54.6

Atomic structure:
```
data_MgAl2Cl6
_chemical_formula_sum 'Mg2 Al4 Cl12'
_cell_length_a 11.818
_cell_length_b 4.510
_cell_length_c 9.976
_cell_angle_alpha 90.00
_cell_angle_beta 97.83
_cell_angle_gamma 90.00
_space_group_name_H-M_alt 'C 1 2/m 1'
_space_group_IT_number 12
loop_
_space_group_symop_operation_xyz
'x,y,z'
'-x,-y,-z'
'-x,y,-z'
'x,-y,z'
'x+1/2,y+1/2,z'
'-x+1/2,-y+1/2,-z'
'-x+1/2,y+1/2,-z'
'x+1/2,-y+1/2,z'
loop_
_atom_site_label
_atom_site_type_symbol
_atom_site_fract_x
_atom_site_fract_y
_atom_site_fract_z
Mg1 Mg 0.000 0.000 0.000
Al1 Al 0.186 0.500 0.712
Cl1 Cl 0.116 0.500 0.924
Cl2 Cl 0.118 0.000 0.216
Cl3 Cl 0.157 0.000 0.645
```

Computed X-ray powder pattern
Compound: MnAl3Cl12
Radiation: Cu Ka
Structure: the GGA-PBE geometry in Alexandria
Peak positions follow from Bragg's law for the DFT cell and can differ from measured ones.

Largest 12 diffraction maxima, sorted by position, 15 to 90 degrees two-theta:
d (Å)	Rel. int.
5.734	48.4
4.965	49.2
4.107	86.1
3.816	64.2
3.712	86.4
3.636	57.7
3.165	40.7
2.806	100.0
2.765	96.4
2.734	81.2
2.577	69.5
2.304	44.2

Atomic structure:
```
data_MnAl3Cl12
_chemical_formula_sum 'Mn6 Al18 Cl72'
_cell_length_a 11.7706
_cell_length_b 11.7706
_cell_length_c 27.7410
_cell_angle_alpha 90.00
_cell_angle_beta 90.00
_cell_angle_gamma 120.00
_space_group_name_H-M_alt 'R 3 c'
_space_group_IT_number 161
_space_group_name_Hall 'R 3 -2"c'
loop_
_atom_site_label
_atom_site_type_symbol
_atom_site_fract_x
_atom_site_fract_y
_atom_site_fract_z
Mn1 Mn 0.0000 0.0000 0.0000
Al1 Al 0.1627 0.3835 0.0500
Cl1 Cl 0.0461 0.1818 0.5577
Cl2 Cl 0.0605 0.3532 0.3826
Cl3 Cl 0.1836 0.4774 0.4929
Cl4 Cl 0.1938 0.4672 0.6200
```

Computed X-ray powder pattern
Compound: AlMoCl4
Radiation: Cu Ka
Structure: the GGA-PBE geometry in Alexandria
Peak positions follow from Bragg's law for the DFT cell and can differ from measured ones.

Largest 12 diffraction maxima, sorted by position, 15 to 90 degrees two-theta:
d (Å)	Rel. int.
4.836	16.9
4.188	16.4
2.961	43.9
2.525	100.0
2.418	26.1
1.710	16.5
1.612	30.3
1.481	21.2
1.277	10.3
1.263	8.3
1.119	8.5
1.090	19.9

Atomic structure:
```
data_AlMoCl4
_chemical_formula_sum 'Al4 Mo4 Cl16'
_cell_length_a 8.376
_cell_length_b 8.376
_cell_length_c 8.376
_cell_angle_alpha 90.00
_cell_angle_beta 90.00
_cell_angle_gamma 90.00
_space_group_name_H-M_alt 'F -4 3 m'
_space_group_IT_number 216
_space_group_name_Hall 'F -4 2 3'
loop_
_atom_site_label
_atom_site_type_symbol
_atom_site_fract_x
_atom_site_fract_y
_atom_site_fract_z
Al1 Al 0.000 0.000 0.000
Mo1 Mo 0.250 0.250 0.250
Cl1 Cl 0.125 0.125 0.625
```

Computed X-ray powder pattern
Compound: AlSNCl3
Radiation: Cu Ka
Structure: the GGA-PBE geometry in Alexandria
Peak positions follow from Bragg's law for the DFT cell and can differ from measured ones.

Largest 12 diffraction maxima, sorted by position, 15 to 90 degrees two-theta:
d (Å)	Rel. int.
5.603	38.7
5.195	22.9
4.490	57.1
4.143	66.5
3.494	100.0
3.407	23.9
3.263	46.6
3.229	62.8
3.118	49.0
3.015	23.1
2.672	28.8
2.513	26.6

Atomic structure:
```
data_AlSNCl3
_chemical_formula_sum 'Al4 S4 N4 Cl12'
_cell_length_a 7.313
_cell_length_b 10.390
_cell_length_c 9.812
_cell_angle_alpha 90.00
_cell_angle_beta 114.52
_cell_angle_gamma 90.00
_space_group_name_H-M_alt 'P 1 21/c 1'
_space_group_IT_number 14
loop_
_space_group_symop_operation_xyz
'x,y,z'
'-x,-y,-z'
'-x,y+1/2,-z+1/2'
'x,-y+1/2,z+1/2'
loop_
_atom_site_label
_atom_site_type_symbol
_atom_site_fract_x
_atom_site_fract_y
_atom_site_fract_z
Al1 Al 0.239 0.124 0.342
S1 S 0.144 0.532 0.116
N1 N 0.105 0.041 0.455
Cl1 Cl 0.043 0.658 0.347
Cl2 Cl 0.384 0.205 0.946
Cl3 Cl 0.418 0.518 0.795
```